(1)
# Sm2ZrSe5
Theoretical XRD peak list, copper Kα. Input: a GGA-PBE-relaxed structure.

Most intense lines, 2θ = 5–70°, low angle first:
| index | two_theta | d [Å] | I_rel |
| --- | --- | --- | --- |
| 3 0 1 | 24.71 | 3.603 | 39 |
| 4 0 1 | 31.48 | 2.842 | 38 |
| 1 2 2 | 32.67 | 2.741 | 60 |
| 3 2 1 | 33.03 | 2.712 | 85 |
| 2 2 2 | 35.12 | 2.555 | 100 |
| 1 0 3 | 35.76 | 2.511 | 43 |
| 4 2 0 | 36.61 | 2.455 | 42 |
| 3 0 3 | 41.58 | 2.172 | 28 |
| 0 4 0 | 43.96 | 2.060 | 45 |
| 5 2 1 | 44.67 | 2.029 | 46 |

Atomic structure:
```
data_Sm2ZrSe5
_symmetry_space_group_name_H-M 'P n m a'
_symmetry_Int_Tables_number 62
_cell_length_a 12.229
_cell_length_b 8.239
_cell_length_c 7.700
_cell_angle_alpha 90.00
_cell_angle_beta 90.00
_cell_angle_gamma 90.00
loop_
_symmetry_equiv_pos_as_xyz
'x,y,z'
'-x,-y,-z'
'-x+1/2,-y,z+1/2'
'x+1/2,y,-z+1/2'
'x+1/2,-y+1/2,-z+1/2'
'-x+1/2,y+1/2,z+1/2'
'-x,y+1/2,-z'
'x,-y+1/2,z'
loop_
_atom_site_label
_atom_site_type_symbol
_atom_site_fract_x
_atom_site_fract_y
_atom_site_fract_z
Sm1 Sm 0.179 0.004 0.027
Zr1 Zr 0.007 0.750 0.580
Se1 Se 0.004 0.750 0.949
Se2 Se 0.091 0.039 0.663
Se3 Se 0.181 0.750 0.334
Se4 Se 0.208 0.250 0.314
```

(2)
# YNbNO
Theoretical XRD peak list, copper Kα. Input: a GGA-PBE-relaxed structure.

Most intense lines, 2θ = 5–70°, low angle first:
| index | two_theta | d [Å] | I_rel |
| --- | --- | --- | --- |
| 1 2 0 | 25.08 | 3.551 | 78 |
| 2 0 0 | 26.06 | 3.419 | 27 |
| 1 2 1 | 32.53 | 2.752 | 100 |
| 2 0 1 | 33.31 | 2.690 | 67 |
| 0 0 2 | 41.46 | 2.178 | 46 |
| 3 2 0 | 45.38 | 1.999 | 45 |
| 2 3 1 | 47.10 | 1.930 | 33 |
| 1 2 2 | 49.07 | 1.857 | 23 |
| 1 5 1 | 61.21 | 1.514 | 31 |
| 3 2 2 | 63.14 | 1.473 | 32 |

Atomic structure:
```
data_YNbNO
_symmetry_space_group_name_H-M 'P c a 21'
_symmetry_Int_Tables_number 29
_cell_length_a 6.839
_cell_length_b 8.309
_cell_length_c 4.356
_cell_angle_alpha 90.00
_cell_angle_beta 90.00
_cell_angle_gamma 90.00
loop_
_symmetry_equiv_pos_as_xyz
'x,y,z'
'-x,-y,z+1/2'
'-x+1/2,y,z+1/2'
'x+1/2,-y,z'
loop_
_atom_site_label
_atom_site_type_symbol
_atom_site_fract_x
_atom_site_fract_y
_atom_site_fract_z
Y1 Y 0.071 0.146 0.000
Nb1 Nb 0.107 0.566 0.998
N1 N 0.096 0.622 0.498
O1 O 0.109 0.076 0.500
```